[1]
For Pr5NdAg, a cell relaxed with PBE gives the computed X-ray diffraction stick pattern in this record (Cu Kα (λ = 1.5418 Å)).

Top 10 peaks for 10 to 80 degrees two-theta, low angle first:
| 2theta | Rel. int. |
| --- | --- |
| 26.93 | 25 |
| 29.71 | 57 |
| 30.47 | 45 |
| 30.51 | 100 |
| 30.75 | 30 |
| 32.18 | 50 |
| 34.39 | 49 |
| 35.08 | 34 |
| 36.28 | 30 |
| 53.44 | 23 |

Atomic structure:
```
Pr5NdAg
1.0
5.970 -3.382 0.000
5.970 3.382 0.000
-3.701 0.000 11.765
Pr Nd Ag
10 2 2
direct
0.092 0.218 0.552 Pr
0.203 0.332 0.838 Pr
0.218 0.092 0.052 Pr
0.222 0.778 0.750 Pr
0.332 0.203 0.338 Pr
0.668 0.797 0.662 Pr
0.778 0.222 0.250 Pr
0.782 0.908 0.948 Pr
0.797 0.668 0.162 Pr
0.908 0.782 0.448 Pr
0.302 0.698 0.250 Nd
0.698 0.302 0.750 Nd
0.500 0.500 0.000 Ag
0.500 0.500 0.500 Ag
```

=====

[2]
For PrNdAg4, a cell relaxed with PBE gives the computed X-ray diffraction stick pattern in this record (Cu Kα (λ = 1.5418 Å)).

Top 10 peaks for 10 to 80 degrees two-theta, low angle first:
| 2theta | Rel. int. |
| --- | --- |
| 32.82 | 100 |
| 32.94 | 51 |
| 37.05 | 38 |
| 37.38 | 73 |
| 50.41 | 30 |
| 50.76 | 29 |
| 64.12 | 14 |
| 64.49 | 27 |
| 64.71 | 42 |
| 66.99 | 13 |

Atomic structure:
```
PrNdAg4
1.0
3.596 0.000 0.000
0.000 4.852 0.000
0.000 0.000 8.311
Pr Nd Ag
1 1 4
direct
0.000 0.000 0.000 Pr
0.000 0.500 0.500 Nd
0.500 0.000 0.333 Ag
0.500 0.000 0.667 Ag
0.500 0.500 0.168 Ag
0.500 0.500 0.832 Ag
```

=====

Number 1 is which compound? Pr5NdAg

=====

Which formula does entry 2 have? PrNdAg4